For Sn2Pt, the GGA-PBE geometry in the Materials Project gives the simulated PXRD pattern in this record (Cu Kα (weighted mean of Kα1 and Kα2)).
Kinematic intensities with the Lorentz-polarization factor, no thermal factor.

Largest 10 diffraction maxima, by angle, 10 to 90 degrees two-theta:
23.51 deg, I = 47
27.21 deg, I = 2
38.86 deg, I = 100
45.92 deg, I = 24
56.13 deg, I = 18
61.68 deg, I = 10
70.36 deg, I = 37
75.34 deg, I = 8
83.41 deg, I = 12
88.18 deg, I = 8

Unit cell a=4.635 b=4.635 c=4.635 alpha=60.00 beta=60.00 gamma=60.00
Positions (direct):
Sn 0.250 0.250 0.250
Sn 0.750 0.750 0.750
Pt 0.000 0.000 0.000